# 1
For HgAs2, a structure optimized by DFT (PBE) gives the simulated XRD peak list in this record (Cu Ka).
Lines closer than 0.1° are merged.

Main lines, low angle first (10 to 80 degrees two-theta):
2theta	d/Å	I_rel	index
19.69	4.508	15	0 2 1
28.91	3.089	38	0 4 1
30.03	2.976	29	1 1 1
30.89	2.894	100	1 3 0
31.33	2.855	54	0 0 2
36.71	2.448	23	0 6 0
44.57	2.033	73	1 3 2
49.01	1.859	20	0 6 2
50.89	1.794	14	2 0 0
53.03	1.727	26	1 7 1
60.99	1.519	16	2 0 2
74.04	1.280	17	1 3 4

```
data_HgAs2
_chemical_formula_sum 'Hg4 As8'
_cell_length_a 3.5887
_cell_length_b 14.6894
_cell_length_c 5.7108
_cell_angle_alpha 90.00
_cell_angle_beta 90.00
_cell_angle_gamma 90.00
_symmetry_space_group_name_H-M 'C m c m'
_symmetry_Int_Tables_number 63
_symmetry_space_group_name_Hall '-C 2c 2'
loop_
_atom_site_label
_atom_site_fract_x
_atom_site_fract_y
_atom_site_fract_z
Hg1 0.0000 0.1674 0.2500
As1 0.0000 0.1347 0.7500
As2 0.0000 0.4818 0.2500
```

# 2
For Hg6As7, a structure optimized by DFT (PBE) gives the simulated XRD peak list in this record (Cu Ka).
Lines closer than 0.1° are merged.

Main lines, low angle first (10 to 80 degrees two-theta):
2theta	d/Å	I_rel	index
27.06	3.295	100	1 1 0
29.48	3.030	32	0 1 8
31.51	2.839	19	0 2 1
33.05	2.711	48	1 1 6
35.12	2.555	26	2 0 5
38.03	2.366	30	0 1 11
40.44	2.230	16	2 0 8
47.81	1.902	17	3 0 0
51.74	1.767	19	3 0 6
53.18	1.722	15	2 1 10
55.33	1.660	16	1 2 11
55.80	1.648	20	2 2 0

```
data_Hg6As7
_chemical_formula_sum 'Hg18 As21'
_cell_length_a 6.5900
_cell_length_b 6.5900
_cell_length_c 28.6039
_cell_angle_alpha 90.00
_cell_angle_beta 90.00
_cell_angle_gamma 120.00
_symmetry_space_group_name_H-M 'R -3 m'
_symmetry_Int_Tables_number 166
_symmetry_space_group_name_Hall '-R 3 2"'
loop_
_atom_site_label
_atom_site_fract_x
_atom_site_fract_y
_atom_site_fract_z
Hg1 0.0000 0.0000 0.0512
Hg2 0.0000 0.0000 0.1592
Hg3 0.0000 0.0000 0.3222
As1 0.0000 0.0000 0.5000
As2 0.0786 0.5393 0.0873
```

# 3
For HgAs6, a structure optimized by DFT (PBE) gives the simulated XRD peak list in this record (Cu Ka).
Lines closer than 0.1° are merged.

Main lines, low angle first (10 to 80 degrees two-theta):
2theta	d/Å	I_rel	index
16.89	5.250	2	1 1 0
23.97	3.713	42	2 0 0
29.47	3.031	100	2 1 1
42.16	2.143	7	2 2 2
45.72	1.984	60	3 2 1
49.08	1.856	21	4 0 0
55.33	1.660	17	4 2 0
58.28	1.583	15	3 3 2
69.32	1.356	18	5 2 1
71.93	1.313	14	4 4 0
77.06	1.238	8	6 0 0
79.59	1.205	18	6 1 1

```
data_HgAs6
_chemical_formula_sum 'Hg2 As12'
_cell_length_a 7.4252
_cell_length_b 7.4252
_cell_length_c 7.4252
_cell_angle_alpha 90.00
_cell_angle_beta 90.00
_cell_angle_gamma 90.00
_symmetry_space_group_name_H-M 'I m -3 m'
_symmetry_Int_Tables_number 229
_symmetry_space_group_name_Hall '-I 4 2 3'
loop_
_atom_site_label
_atom_site_fract_x
_atom_site_fract_y
_atom_site_fract_z
Hg1 0.0000 0.0000 0.0000
As1 0.0000 0.2500 0.5000
```

# 4
For Hg5As2I2, a structure optimized by DFT (PBE) gives the simulated XRD peak list in this record (Cu Ka).
Lines closer than 0.1° are merged.

Main lines, low angle first (10 to 80 degrees two-theta):
2theta	d/Å	I_rel	index
17.45	5.083	100	0 1 -1
21.30	4.171	35	1 0 -1
25.53	3.489	32	1 -1 1
28.16	3.169	46	1 0 -2
30.74	2.908	63	1 2 0
31.02	2.883	55	1 2 1
35.31	2.542	37	0 2 -2
36.52	2.460	48	0 2 3
37.04	2.427	63	1 0 3
37.50	2.399	53	2 0 0
41.61	2.170	33	2 -1 1
53.34	1.717	32	2 2 3

```
data_Hg5As2I2
_chemical_formula_sum 'Hg5 As2 I2'
_cell_length_a 4.7972
_cell_length_b 7.4411
_cell_length_c 8.5903
_cell_angle_alpha 79.37
_cell_angle_beta 89.95
_cell_angle_gamma 90.00
_symmetry_space_group_name_H-M 'P -1'
_symmetry_Int_Tables_number 2
loop_
_symmetry_equiv_pos_as_xyz
'x,y,z'
'-x,-y,-z'
loop_
_atom_site_label
_atom_site_fract_x
_atom_site_fract_y
_atom_site_fract_z
Hg1 0.0000 0.0000 0.0000
Hg2 0.9996 0.3871 0.3939
Hg3 0.4989 0.2153 0.1984
As1 0.0014 0.9389 0.7070
I1 0.4993 0.3419 0.8217
```

# 5
For Hg4AsI3, a structure optimized by DFT (PBE) gives the simulated XRD peak list in this record (Cu Ka).
Lines closer than 0.1° are merged.

Main lines, low angle first (10 to 80 degrees two-theta):
2theta	d/Å	I_rel	index
12.37	7.157	59	0 2 0
16.30	5.437	63	0 1 1
18.44	4.812	52	1 0 1
21.21	4.189	62	2 0 0
21.43	4.146	73	1 3 0
24.02	3.704	70	0 3 1
26.87	3.319	80	2 1 1
31.15	2.871	69	1 4 1
32.93	2.720	100	0 2 2
37.81	2.379	86	3 2 1
39.69	2.271	55	0 4 2
43.91	2.062	68	3 4 1

```
data_Hg4AsI3
_chemical_formula_sum 'Hg8 As2 I6'
_cell_length_a 8.3787
_cell_length_b 14.3130
_cell_length_c 5.8776
_cell_angle_alpha 90.00
_cell_angle_beta 90.00
_cell_angle_gamma 90.00
_symmetry_space_group_name_H-M 'I m m 2'
_symmetry_Int_Tables_number 44
loop_
_symmetry_equiv_pos_as_xyz
'x,y,z'
'-x,-y,z'
'-x,y,z'
'x,-y,z'
'x+1/2,y+1/2,z+1/2'
'-x+1/2,-y+1/2,z+1/2'
'-x+1/2,y+1/2,z+1/2'
'x+1/2,-y+1/2,z+1/2'
loop_
_atom_site_label
_atom_site_fract_x
_atom_site_fract_y
_atom_site_fract_z
Hg1 0.0000 0.1268 0.0000
Hg2 0.1732 0.5000 0.1691
As1 0.0000 0.0000 0.6971
I1 0.0000 0.2567 0.3270
I2 0.0000 0.5000 0.6840
```

# 6
For Na2HgAsI6, a structure optimized by DFT (PBE) gives the simulated XRD peak list in this record (Cu Ka).
Lines closer than 0.1° are merged.

Main lines, low angle first (10 to 80 degrees two-theta):
2theta	d/Å	I_rel	index
15.25	5.811	75	0 1 1
15.51	5.712	34	1 0 1
25.47	3.497	100	1 2 0
25.66	3.472	35	1 -1 1
26.19	3.402	42	2 1 2
30.77	2.905	31	0 2 2
33.50	2.675	52	2 1 -1
33.86	2.647	24	1 -1 2
34.04	2.634	19	1 2 3
38.98	2.311	27	0 3 1
39.52	2.280	24	3 0 1
39.65	2.273	21	3 3 2

```
data_Na2HgAsI6
_chemical_formula_sum 'Na2 Hg1 As1 I6'
_cell_length_a 7.8532
_cell_length_b 7.9523
_cell_length_c 8.3712
_cell_angle_alpha 62.87
_cell_angle_beta 63.51
_cell_angle_gamma 60.61
_symmetry_space_group_name_H-M 'P 1'
_symmetry_Int_Tables_number 1
loop_
_symmetry_equiv_pos_as_xyz
'x,y,z'
loop_
_atom_site_label
_atom_site_fract_x
_atom_site_fract_y
_atom_site_fract_z
Na1 0.0000 0.0000 0.0000
Na2 0.4843 0.4913 0.5263
Hg1 0.1900 0.1898 0.4310
As1 0.6846 0.6831 0.9467
I1 0.0384 0.7934 0.7158
I2 0.3187 0.5827 0.1917
I3 0.4399 0.0345 0.7036
I4 0.5835 0.9069 0.1882
I5 0.7908 0.4347 0.7219
I6 0.9127 0.3255 0.1960
```

# 7
For Hg3AsSe4I, a structure optimized by DFT (PBE) gives the simulated XRD peak list in this record (Cu Ka).
Lines closer than 0.1° are merged.

Main lines, low angle first (10 to 80 degrees two-theta):
2theta	d/Å	I_rel	index
13.01	6.807	18	1 0 0
16.41	5.403	51	0 0 2
26.18	3.403	31	2 0 0
27.48	3.246	17	2 0 1
28.07	3.179	34	1 1 2
31.06	2.880	100	2 0 2
42.74	2.116	52	2 0 4
46.20	1.965	39	2 2 0
49.35	1.847	19	2 2 2
56.72	1.623	19	4 0 2
57.94	1.592	17	2 0 6
76.06	1.251	16	4 2 2

```
data_Hg3AsSe4I
_chemical_formula_sum 'Hg6 As2 Se8 I2'
_cell_length_a 7.8596
_cell_length_b 7.8596
_cell_length_c 10.8054
_cell_angle_alpha 90.00
_cell_angle_beta 90.00
_cell_angle_gamma 120.00
_symmetry_space_group_name_H-M 'P 63 m c'
_symmetry_Int_Tables_number 186
_symmetry_space_group_name_Hall 'P 6c -2c'
loop_
_atom_site_label
_atom_site_fract_x
_atom_site_fract_y
_atom_site_fract_z
Hg1 0.0026 0.5013 0.0000
As1 0.0000 0.0000 0.4990
Se1 0.1520 0.3039 0.6194
Se2 0.3333 0.6667 0.8755
I1 0.3333 0.6667 0.2939
```

# 8
For HgAsSeI, a structure optimized by DFT (PBE) gives the simulated XRD peak list in this record (Cu Ka).
Lines closer than 0.1° are merged.

Main lines, low angle first (10 to 80 degrees two-theta):
2theta	d/Å	I_rel	index
10.70	8.272	60	0 0 1
21.49	4.136	26	0 0 2
22.72	3.913	28	1 1 0
25.22	3.531	100	1 1 1
25.40	3.507	48	2 0 -1
31.40	2.849	19	1 1 -2
31.56	2.835	25	2 0 -2
39.69	2.271	25	0 2 0
39.91	2.259	21	1 1 -3
40.07	2.250	42	2 0 -3
40.33	2.237	58	3 1 0
47.71	1.906	17	2 2 -1

```
data_HgAsSeI
_chemical_formula_sum 'Hg2 As2 Se2 I2'
_cell_length_a 7.7129
_cell_length_b 4.5413
_cell_length_c 8.2719
_cell_angle_alpha 90.00
_cell_angle_beta 90.52
_cell_angle_gamma 90.00
_symmetry_space_group_name_H-M 'C 1 m 1'
_symmetry_Int_Tables_number 8
loop_
_symmetry_equiv_pos_as_xyz
'x,y,z'
'x,-y,z'
'x+1/2,y+1/2,z'
'x+1/2,-y+1/2,z'
loop_
_atom_site_label
_atom_site_fract_x
_atom_site_fract_y
_atom_site_fract_z
Hg1 0.0000 0.0000 0.0000
As1 0.0028 0.0000 0.6866
Se1 0.3364 0.0000 0.6350
I1 0.1685 0.5000 0.1916
```

# 9
For In2HgAsSe2, a structure optimized by DFT (PBE) gives the simulated XRD peak list in this record (Cu Ka).
Lines closer than 0.1° are merged.

Main lines, low angle first (10 to 80 degrees two-theta):
2theta	d/Å	I_rel	index
13.66	6.481	26	1 1 0
21.00	4.229	100	3 1 0
24.95	3.569	23	3 1 1
26.82	3.324	24	0 0 2
27.53	3.240	30	2 2 0
29.15	3.063	26	2 0 2
30.22	2.958	41	1 1 2
34.07	2.631	56	6 0 0
37.03	2.427	41	0 2 2
38.42	2.343	27	1 3 0
50.38	1.811	25	3 3 2
51.20	1.784	32	6 2 2

```
data_In2HgAsSe2
_chemical_formula_sum 'In8 Hg4 As4 Se8'
_cell_length_a 15.7889
_cell_length_b 7.1069
_cell_length_c 6.6479
_cell_angle_alpha 90.00
_cell_angle_beta 90.00
_cell_angle_gamma 90.00
_symmetry_space_group_name_H-M 'C m c 21'
_symmetry_Int_Tables_number 36
loop_
_symmetry_equiv_pos_as_xyz
'x,y,z'
'-x,-y,z+1/2'
'-x,y,z'
'x,-y,z+1/2'
'x+1/2,y+1/2,z'
'-x+1/2,-y+1/2,z+1/2'
'-x+1/2,y+1/2,z'
'x+1/2,-y+1/2,z+1/2'
loop_
_atom_site_label
_atom_site_fract_x
_atom_site_fract_y
_atom_site_fract_z
In1 0.1702 0.1661 0.0000
Hg1 0.0000 0.4824 0.3668
As1 0.0000 0.2267 0.0972
Se1 0.1716 0.2108 0.5863
```

# 10
For KHgAsO4, a structure optimized by DFT (PBE) gives the simulated XRD peak list in this record (Cu Ka).
Lines closer than 0.1° are merged.

Main lines, low angle first (10 to 80 degrees two-theta):
2theta	d/Å	I_rel	index
18.48	4.802	100	1 0 1
20.96	4.237	22	1 1 0
29.82	2.996	34	2 0 0
30.68	2.914	83	1 1 2
35.31	2.542	30	2 1 1
36.79	2.443	13	1 0 3
37.46	2.401	13	2 0 2
42.68	2.119	17	2 2 0
48.04	1.894	26	1 2 3
53.47	1.714	33	1 3 2
55.08	1.667	18	2 0 4
56.55	1.628	11	2 3 1

```
data_KHgAsO4
_chemical_formula_sum 'K2 Hg2 As2 O8'
_cell_length_a 5.9925
_cell_length_b 5.9925
_cell_length_c 8.0266
_cell_angle_alpha 90.00
_cell_angle_beta 90.00
_cell_angle_gamma 90.00
_symmetry_space_group_name_H-M 'I -4'
_symmetry_Int_Tables_number 82
loop_
_symmetry_equiv_pos_as_xyz
'x,y,z'
'y,-x,-z'
'-x,-y,z'
'-y,x,-z'
'x+1/2,y+1/2,z+1/2'
'y+1/2,-x+1/2,-z+1/2'
'-x+1/2,-y+1/2,z+1/2'
'-y+1/2,x+1/2,-z+1/2'
loop_
_atom_site_label
_atom_site_fract_x
_atom_site_fract_y
_atom_site_fract_z
K1 0.0000 0.0000 0.0000
Hg1 0.0000 0.0000 0.5000
As1 0.0000 0.5000 0.2500
O1 0.1434 0.6968 0.3658
```

# 11
For KHg2As2O7, a structure optimized by DFT (PBE) gives the simulated XRD peak list in this record (Cu Ka).
Lines closer than 0.1° are merged.

Main lines, low angle first (10 to 80 degrees two-theta):
2theta	d/Å	I_rel	index
17.46	5.079	20	1 0 1
18.58	4.775	47	0 1 2
22.00	4.041	72	0 0 6
22.54	3.944	94	1 0 4
29.79	2.999	100	1 1 0
34.25	2.618	21	0 1 8
37.34	2.408	69	1 1 6
37.68	2.387	32	0 2 4
48.75	1.868	29	2 1 4
52.88	1.732	27	3 0 0
54.78	1.676	32	1 1 12
57.94	1.592	27	0 3 6

```
data_KHg2As2O7
_chemical_formula_sum 'K3 Hg6 As6 O21'
_cell_length_a 5.9982
_cell_length_b 5.9982
_cell_length_c 24.2461
_cell_angle_alpha 90.00
_cell_angle_beta 90.00
_cell_angle_gamma 120.00
_symmetry_space_group_name_H-M 'R 3 2'
_symmetry_Int_Tables_number 155
_symmetry_space_group_name_Hall 'R 3 2"'
loop_
_atom_site_label
_atom_site_fract_x
_atom_site_fract_y
_atom_site_fract_z
K1 0.0000 0.0000 0.0000
Hg1 0.0000 0.0000 0.2497
As1 0.0000 0.0000 0.4270
O1 0.0000 0.0000 0.5000
O2 0.0153 0.2819 0.5934
```